Entry 1:
Structure and computed XRD peak list of LiTbHg3O4 (the GGA-PBE geometry in OQMD; copper Kα).
Lines closer than 0.1° are merged.

Structural model:
```
data_LiTbHg3O4
_cell_length_a 5.7918
_cell_length_b 5.7918
_cell_length_c 5.7918
_cell_angle_alpha 90.00
_cell_angle_beta 90.00
_cell_angle_gamma 90.00
_space_group_name_H-M_alt 'P -4 3 m'
_space_group_IT_number 215
_space_group_name_Hall 'P -4 2 3'
loop_
_atom_site_label
_atom_site_fract_x
_atom_site_fract_y
_atom_site_fract_z
Li1 0.0000 0.0000 0.0000
Tb1 0.5000 0.5000 0.5000
Hg1 0.0000 0.5000 0.5000
O1 0.2811 0.2811 0.2811
```

Most intense lines, 2θ = 10–90°, low angle first:
2θ 15.30, 5.792 Å, I 100.0
2θ 26.66, 3.344 Å, I 55.6
2θ 30.88, 2.896 Å, I 69.1
2θ 34.63, 2.590 Å, I 48.6
2θ 44.23, 2.048 Å, I 71.4
2θ 47.07, 1.931 Å, I 28.1
2θ 52.39, 1.746 Å, I 27.1
2θ 54.92, 1.672 Å, I 19.7
2θ 73.06, 1.295 Å, I 26.7
2θ 81.40, 1.182 Å, I 23.6


Entry 2:
Structure and computed XRD peak list of Ho2ErIn3Ir2 (the GGA-PBE geometry in OQMD; copper Kα).
Lines closer than 0.1° are merged.

Structural model:
```
data_Ho2ErIn3Ir2
_cell_length_a 3.6351
_cell_length_b 13.1645
_cell_length_c 7.6025
_cell_angle_alpha 90.00
_cell_angle_beta 90.00
_cell_angle_gamma 90.00
_space_group_name_H-M_alt 'A m m 2'
_space_group_IT_number 38
_space_group_name_Hall 'A 2 -2'
loop_
_atom_site_label
_atom_site_fract_x
_atom_site_fract_y
_atom_site_fract_z
Ho1 0.0000 0.2110 0.0000
Er1 0.0000 0.0000 0.3670
In1 0.5000 0.0000 0.0237
In2 0.5000 0.1173 0.6717
Ir1 0.5000 0.1666 0.2891
```

Most intense lines, 2θ = 10–90°, low angle first:
2θ 13.45, 6.583 Å, I 28.2
2θ 34.13, 2.627 Å, I 100.0
2θ 36.10, 2.488 Å, I 67.6
2θ 36.84, 2.440 Å, I 70.5
2θ 41.14, 2.194 Å, I 19.4
2θ 50.19, 1.818 Å, I 17.2
2θ 56.39, 1.632 Å, I 20.4
2θ 63.37, 1.468 Å, I 25.8
2θ 67.11, 1.395 Å, I 17.7
2θ 70.48, 1.336 Å, I 22.4


Entry 3:
Structure and computed XRD peak list of NbAgSO (the GGA-PBE geometry in OQMD; copper Kα).
Lines closer than 0.1° are merged.

Structural model:
```
data_NbAgSO
_cell_length_a 7.5567
_cell_length_b 5.9360
_cell_length_c 5.5729
_cell_angle_alpha 90.00
_cell_angle_beta 104.32
_cell_angle_gamma 90.00
_space_group_name_H-M_alt 'P 1 c 1'
_space_group_IT_number 7
_space_group_name_Hall 'P -2yc'
loop_
_atom_site_label
_atom_site_fract_x
_atom_site_fract_y
_atom_site_fract_z
Nb1 0.0000 0.2190 0.0000
Nb2 0.1528 0.2803 0.4800
Ag1 0.5205 0.1035 0.9019
Ag2 0.6297 0.3922 0.5774
S1 0.3272 0.3558 0.1566
S2 0.8257 0.1442 0.3230
O1 0.0046 0.4636 0.7141
O2 0.1477 0.0363 0.7656
```

Most intense lines, 2θ = 10–90°, low angle first:
2θ 24.31, 3.661 Å, I 52.8
2θ 32.55, 2.751 Å, I 28.8
2θ 33.18, 2.700 Å, I 21.4
2θ 34.48, 2.601 Å, I 39.3
2θ 35.21, 2.549 Å, I 31.9
2θ 36.17, 2.483 Å, I 100.0
2θ 36.56, 2.458 Å, I 25.3
2θ 40.06, 2.251 Å, I 37.6
2θ 50.93, 1.793 Å, I 24.0
2θ 51.55, 1.773 Å, I 21.7